This entry pairs a crystal structure of DySc with its simulated powder XRD pattern. Radiation: Cu Kα (weighted mean of Kα1 and Kα2). Structure: a structure optimized by DFT (PBE).
Neutral-atom scattering factors, no anomalous dispersion.

Cell and atoms:
Cell: 3.4470 3.4470 5.3849 Å, 90.00 90.00 120.00°
Element x y z (fractional)
Dy: 0.0000 0.0000 0.0000
Sc: 0.6667 0.3333 0.5000

Peak list (10 most intense, 2θ = 10–90°, most intense first)
2θ = 34.35°, I = 100; 2θ = 29.93°, I = 42; 2θ = 16.46°, I = 37; 2θ = 45.36°, I = 27; 2θ = 33.28°, I = 22; 2θ = 60.15°, I = 20; 2θ = 64.16°, I = 19; 2θ = 53.14°, I = 17; 2θ = 64.82°, I = 16; 2θ = 88.55°, I = 14



This entry pairs a crystal structure of DySe2 with its simulated powder XRD pattern. Radiation: Cu Kα (weighted mean of Kα1 and Kα2). Structure: a structure optimized by DFT (PBE).
Neutral-atom scattering factors, no anomalous dispersion.

Cell and atoms:
Cell: 8.7590 8.7590 8.7590 Å, 60.00 60.00 60.00°
Element x y z (fractional)
Dy: 0.1250 0.1250 0.1250
Dy: 0.8750 0.8750 0.8750
Se: 0.0000 0.0000 0.0000
Se: 0.0000 0.0000 0.5000
Se: 0.0000 0.5000 0.0000
Se: 0.5000 0.0000 0.0000

Peak list (10 most intense, 2θ = 10–90°, most intense first)
2θ = 12.38°, I = 100; 2θ = 20.28°, I = 33; 2θ = 31.48°, I = 33; 2θ = 43.21°, I = 27; 2θ = 41.23°, I = 21; 2θ = 35.50°, I = 16; 2θ = 52.78°, I = 15; 2θ = 24.90°, I = 14; 2θ = 69.08°, I = 10; 2θ = 55.51°, I = 9



This entry pairs a crystal structure of Dy2SnSe4 with its simulated powder XRD pattern. Radiation: Cu Kα (weighted mean of Kα1 and Kα2). Structure: a structure optimized by DFT (PBE).
Neutral-atom scattering factors, no anomalous dispersion.

Cell and atoms:
Cell: 7.7790 7.7790 7.7790 Å, 130.60 130.60 72.45°
Element x y z (fractional)
Dy: 0.0000 0.0000 0.0000
Dy: 0.7500 0.2500 0.5000
Sn: 0.5000 0.5000 0.0000
Se: 0.1062 0.1085 0.4764
Se: 0.3702 0.8938 0.0023
Se: 0.6321 0.6298 0.5236
Se: 0.8915 0.3679 0.9977

Peak list (10 most intense, 2θ = 10–90°, most intense first)
2θ = 24.00°, I = 100; 2θ = 39.93°, I = 50; 2θ = 46.48°, I = 34; 2θ = 15.35°, I = 28; 2θ = 39.19°, I = 27; 2θ = 71.53°, I = 18; 2θ = 47.77°, I = 15; 2θ = 63.45°, I = 14; 2θ = 31.59°, I = 9; 2θ = 56.63°, I = 9



This entry pairs a crystal structure of TbDy2Se3 with its simulated powder XRD pattern. Radiation: Cu Kα (weighted mean of Kα1 and Kα2). Structure: a structure optimized by DFT (PBE).
Neutral-atom scattering factors, no anomalous dispersion.

Cell and atoms:
Cell: 4.0619 4.0619 10.0175 Å, 90.00 90.00 120.00°
Element x y z (fractional)
Tb: 0.0000 0.0000 0.0000
Dy: 0.3333 0.6667 0.6666
Dy: 0.6667 0.3333 0.3334
Se: 0.0000 0.0000 0.5000
Se: 0.3333 0.6667 0.1682
Se: 0.6667 0.3333 0.8318

Peak list (10 most intense, 2θ = 10–90°, most intense first)
2θ = 31.07°, I = 100; 2θ = 44.40°, I = 37; 2θ = 44.62°, I = 37; 2θ = 55.36°, I = 19; 2θ = 73.42°, I = 17; 2θ = 73.73°, I = 17; 2θ = 26.86°, I = 16; 2θ = 82.06°, I = 13; 2θ = 64.77°, I = 12; 2θ = 52.79°, I = 8



This entry pairs a crystal structure of Dy4TmSe5 with its simulated powder XRD pattern. Radiation: Cu Kα (weighted mean of Kα1 and Kα2). Structure: a structure optimized by DFT (PBE).
Neutral-atom scattering factors, no anomalous dispersion.

Cell and atoms:
Cell: 14.6760 14.6760 14.6760 Å, 164.15 164.15 22.48°
Element x y z (fractional)
Dy: 0.1022 0.1022 0.0000
Dy: 0.3042 0.3042 0.0000
Dy: 0.6958 0.6958 0.0000
Dy: 0.8978 0.8978 0.0000
Tm: 0.5000 0.5000 0.0000
Se: 0.0000 0.0000 0.0000
Se: 0.2025 0.2025 0.0000
Se: 0.4027 0.4027 0.0000
Se: 0.5973 0.5973 0.0000
Se: 0.7975 0.7975 0.0000

Peak list (10 most intense, 2θ = 10–90°, most intense first)
2θ = 31.27°, I = 100; 2θ = 44.66°, I = 72; 2θ = 31.06°, I = 49; 2θ = 55.52°, I = 38; 2θ = 44.80°, I = 37; 2θ = 26.93°, I = 33; 2θ = 82.51°, I = 25; 2θ = 74.11°, I = 17; 2θ = 74.00°, I = 16; 2θ = 73.67°, I = 15



This entry pairs a crystal structure of DySi2 with its simulated powder XRD pattern. Radiation: Cu Kα (weighted mean of Kα1 and Kα2). Structure: a structure optimized by DFT (PBE).
Neutral-atom scattering factors, no anomalous dispersion.

Cell and atoms:
Cell: 4.0927 4.0927 3.9470 Å, 90.00 90.00 120.00°
Element x y z (fractional)
Dy: 0.0000 0.0000 0.0000
Si: 0.3333 0.6667 0.5000
Si: 0.6667 0.3333 0.5000

Peak list (10 most intense, 2θ = 10–90°, most intense first)
2θ = 34.00°, I = 100; 2θ = 25.12°, I = 52; 2θ = 44.26°, I = 32; 2θ = 56.96°, I = 23; 2θ = 74.85°, I = 20; 2θ = 65.74°, I = 19; 2θ = 53.12°, I = 14; 2θ = 22.53°, I = 13; 2θ = 50.22°, I = 10; 2θ = 45.99°, I = 9



What did the fourth record say?
This entry pairs a crystal structure of TbDy2Se3 with its simulated powder XRD pattern. Radiation: Cu Kα (weighted mean of Kα1 and Kα2). Structure: a structure optimized by DFT (PBE).
Neutral-atom scattering factors, no anomalous dispersion.

Cell and atoms:
Cell: 4.0619 4.0619 10.0175 Å, 90.00 90.00 120.00°
Element x y z (fractional)
Tb: 0.0000 0.0000 0.0000
Dy: 0.3333 0.6667 0.6666
Dy: 0.6667 0.3333 0.3334
Se: 0.0000 0.0000 0.5000
Se: 0.3333 0.6667 0.1682
Se: 0.6667 0.3333 0.8318

Peak list (10 most intense, 2θ = 10–90°, most intense first)
2θ = 31.07°, I = 100; 2θ = 44.40°, I = 37; 2θ = 44.62°, I = 37; 2θ = 55.36°, I = 19; 2θ = 73.42°, I = 17; 2θ = 73.73°, I = 17; 2θ = 26.86°, I = 16; 2θ = 82.06°, I = 13; 2θ = 64.77°, I = 12; 2θ = 52.79°, I = 8